Record 1
This entry pairs a crystal structure of NdSmAlPb with its theoretical XRD peak list. Radiation: Cu Kα, 1.54184 Å. Structure: the PBE geometry in Alexandria.
Intensities are scaled so that the largest is 100.

```
NdSmAlPb
1.0
7.6713 0.0000 0.0000
0.0000 7.6713 0.0000
0.0000 0.0000 7.6713
Nd Sm Al Pb
4 4 4 4
Cartesian
0.0000 0.0000 0.0000 Nd
0.0000 3.8357 3.8357 Nd
3.8357 0.0000 3.8357 Nd
3.8357 3.8357 0.0000 Nd
0.0000 0.0000 3.8357 Sm
0.0000 3.8357 0.0000 Sm
3.8357 0.0000 0.0000 Sm
3.8357 3.8357 3.8357 Sm
1.9178 1.9178 5.7535 Al
1.9178 5.7535 1.9178 Al
5.7535 1.9178 1.9178 Al
5.7535 5.7535 5.7535 Al
1.9178 1.9178 1.9178 Pb
1.9178 5.7535 5.7535 Pb
5.7535 1.9178 5.7535 Pb
5.7535 5.7535 1.9178 Pb
```

Most intense lines, 5° ≤ 2θ ≤ 70°, sorted by position:
| 2theta | d_spacing | Rel. int. |
| --- | --- | --- |
| 20.05 | 4.429 | 25 |
| 33.03 | 2.712 | 100 |
| 38.94 | 2.313 | 15 |
| 47.40 | 1.918 | 18 |
| 51.96 | 1.760 | 7 |
| 58.99 | 1.566 | 38 |
| 62.96 | 1.476 | 5 |
| 69.29 | 1.356 | 12 |

Record 2
This entry pairs a crystal structure of Nd2Al9Pd6 with its theoretical XRD peak list. Radiation: Cu Kα, 1.54184 Å. Structure: the PBE geometry in Alexandria.
Intensities are scaled so that the largest is 100.

```
Nd2Al9Pd6
1.0
5.4833 0.0000 0.0000
-2.7417 4.7487 0.0000
0.0000 0.0000 12.5448
Nd Al Pd
2 9 6
Cartesian
0.0000 0.0000 1.9971 Nd
0.0000 0.0000 10.5477 Nd
-1.3708 2.3744 0.0000 Al
-1.3708 2.3744 4.2575 Al
-1.3708 2.3744 8.2873 Al
2.7417 0.0000 0.0000 Al
2.7417 0.0000 4.2575 Al
2.7417 0.0000 8.2873 Al
1.3708 2.3744 0.0000 Al
1.3708 2.3744 4.2575 Al
1.3708 2.3744 8.2873 Al
0.0000 3.1658 2.1643 Pd
0.0000 3.1658 6.2724 Pd
0.0000 3.1658 10.3805 Pd
2.7417 1.5829 2.1643 Pd
2.7417 1.5829 6.2724 Pd
2.7417 1.5829 10.3805 Pd
```

Most intense lines, 5° ≤ 2θ ≤ 70°, sorted by position:
| 2theta | d_spacing | Rel. int. |
| --- | --- | --- |
| 7.05 | 12.545 | 16 |
| 19.99 | 4.441 | 15 |
| 21.25 | 4.182 | 38 |
| 32.66 | 2.742 | 60 |
| 39.30 | 2.293 | 100 |
| 43.27 | 2.091 | 16 |
| 55.25 | 1.663 | 25 |
| 62.77 | 1.480 | 25 |

Record 3
This entry pairs a crystal structure of Nd2AlPd7 with its theoretical XRD peak list. Radiation: Cu Kα, 1.54184 Å. Structure: the PBE geometry in Alexandria.
Intensities are scaled so that the largest is 100.

```
Nd2AlPd7
1.0
0.0000 4.7681 4.7681
4.7681 0.0000 4.7681
4.7681 4.7681 0.0000
Nd Al Pd
2 1 7
Cartesian
2.3841 2.3841 2.3841 Nd
7.1522 7.1522 7.1522 Nd
0.0000 0.0000 0.0000 Al
4.7681 4.7681 2.2690 Pd
4.7681 2.2690 4.7681 Pd
7.2673 4.7681 4.7681 Pd
4.7681 4.7681 4.7681 Pd
2.2690 4.7681 4.7681 Pd
4.7681 7.2673 4.7681 Pd
4.7681 4.7681 7.2673 Pd
```

Most intense lines, 5° ≤ 2θ ≤ 70°, sorted by position:
| 2theta | d_spacing | Rel. int. |
| --- | --- | --- |
| 26.44 | 3.372 | 18 |
| 32.53 | 2.753 | 100 |
| 37.73 | 2.384 | 89 |
| 41.27 | 2.188 | 6 |
| 46.66 | 1.947 | 7 |
| 54.43 | 1.686 | 60 |
| 64.86 | 1.438 | 38 |
| 68.12 | 1.376 | 20 |

Record 4
This entry pairs a crystal structure of NdAl8Pd4 with its theoretical XRD peak list. Radiation: Cu Kα, 1.54184 Å. Structure: the PBE geometry in Alexandria.
Intensities are scaled so that the largest is 100.

```
NdAl8Pd4
1.0
-4.4509 4.4509 2.7263
4.4509 -4.4509 2.7263
4.4509 4.4509 -2.7263
Nd Al Pd
1 8 4
Cartesian
0.0000 0.0000 0.0000 Nd
3.1058 0.0000 0.0000 Al
5.7960 0.0000 0.0000 Al
4.4509 2.4708 0.0000 Al
0.0000 3.1058 0.0000 Al
2.4708 4.4509 0.0000 Al
1.9801 0.0000 2.7263 Al
0.0000 5.7960 0.0000 Al
0.0000 1.9801 2.7263 Al
2.2254 2.2254 -1.3632 Pd
2.2254 -2.2254 1.3632 Pd
-2.2254 2.2254 1.3632 Pd
2.2254 2.2254 1.3632 Pd
```

Most intense lines, 5° ≤ 2θ ≤ 70°, sorted by position:
| 2theta | d_spacing | Rel. int. |
| --- | --- | --- |
| 19.95 | 4.451 | 46 |
| 27.75 | 3.215 | 24 |
| 28.36 | 3.147 | 59 |
| 38.73 | 2.325 | 100 |
| 40.09 | 2.249 | 31 |
| 40.54 | 2.225 | 54 |
| 43.94 | 2.061 | 33 |
| 57.31 | 1.608 | 43 |

Record 5
This entry pairs a crystal structure of NdAl12Pd4 with its theoretical XRD peak list. Radiation: Cu Kα, 1.54184 Å. Structure: the PBE geometry in Alexandria.
Intensities are scaled so that the largest is 100.

```
NdAl12Pd4
1.0
-4.3923 4.3923 4.3923
4.3923 -4.3923 4.3923
4.3923 4.3923 -4.3923
Nd Al Pd
1 12 4
Cartesian
0.0000 0.0000 0.0000 Nd
3.0203 1.3975 0.0000 Al
5.7642 1.3975 0.0000 Al
4.3923 -1.3720 2.9948 Al
2.9948 4.3923 -1.3720 Al
1.3975 0.0000 3.0203 Al
4.3923 1.3720 2.9948 Al
0.0000 3.0203 1.3975 Al
2.9948 4.3923 1.3720 Al
1.3975 0.0000 5.7642 Al
0.0000 5.7642 1.3975 Al
-1.3720 2.9948 4.3923 Al
1.3720 2.9948 4.3923 Al
2.1961 2.1961 -2.1961 Pd
2.1961 -2.1961 2.1961 Pd
-2.1961 2.1961 2.1961 Pd
2.1961 2.1961 2.1961 Pd
```

Most intense lines, 5° ≤ 2θ ≤ 70°, sorted by position:
| 2theta | d_spacing | Rel. int. |
| --- | --- | --- |
| 14.26 | 6.212 | 23 |
| 20.22 | 4.392 | 34 |
| 28.74 | 3.106 | 100 |
| 32.22 | 2.778 | 39 |
| 38.34 | 2.348 | 32 |
| 46.22 | 1.964 | 29 |
| 50.93 | 1.793 | 66 |
| 67.43 | 1.389 | 23 |

Record 6
This entry pairs a crystal structure of NdAl7Pd5 with its theoretical XRD peak list. Radiation: Cu Kα, 1.54184 Å. Structure: the PBE geometry in Alexandria.
Intensities are scaled so that the largest is 100.

```
NdAl7Pd5
1.0
-2.7088 4.5745 4.3791
2.7088 -4.5745 4.3791
2.7088 4.5745 -4.3791
Nd Al Pd
1 7 5
Cartesian
0.0000 0.0000 0.0000 Nd
2.7088 1.9283 0.0423 Al
2.7088 -1.3834 4.2019 Al
0.0000 0.0000 3.0026 Al
2.7088 1.3834 4.2019 Al
0.0000 0.0000 5.6209 Al
0.0000 4.5745 2.3119 Al
0.0000 2.6461 4.4215 Al
2.7088 0.0000 1.9272 Pd
1.3450 2.4504 2.1646 Pd
1.3638 -2.1240 6.5437 Pd
1.3450 6.6985 2.1646 Pd
1.3638 2.1240 6.5437 Pd
```

Most intense lines, 5° ≤ 2θ ≤ 70°, sorted by position:
| 2theta | d_spacing | Rel. int. |
| --- | --- | --- |
| 20.28 | 4.379 | 60 |
| 28.21 | 3.163 | 63 |
| 38.63 | 2.331 | 100 |
| 39.10 | 2.304 | 59 |
| 39.39 | 2.287 | 50 |
| 39.67 | 2.272 | 46 |
| 41.23 | 2.190 | 48 |
| 44.01 | 2.058 | 68 |

Record 7
This entry pairs a crystal structure of NdAlPd4 with its theoretical XRD peak list. Radiation: Cu Kα, 1.54184 Å. Structure: the PBE geometry in Alexandria.
Intensities are scaled so that the largest is 100.

```
NdAlPd4
1.0
7.8208 0.0000 0.0000
0.0000 3.9423 0.0000
0.0000 0.0000 7.0412
Nd Al Pd
2 2 8
Cartesian
1.9552 0.0000 1.0214 Nd
5.8656 0.0000 6.0198 Nd
1.9552 0.0000 4.9786 Al
5.8656 0.0000 2.0625 Al
0.0000 0.0000 3.5206 Pd
0.4417 1.9711 5.6759 Pd
1.9552 1.9711 3.2253 Pd
3.4687 1.9711 5.6759 Pd
3.9104 0.0000 3.5206 Pd
4.3521 1.9711 1.3652 Pd
5.8656 1.9711 3.8159 Pd
7.3792 1.9711 1.3652 Pd
```

Most intense lines, 5° ≤ 2θ ≤ 70°, sorted by position:
| 2theta | d_spacing | Rel. int. |
| --- | --- | --- |
| 28.34 | 3.149 | 23 |
| 34.73 | 2.583 | 100 |
| 36.08 | 2.489 | 48 |
| 36.76 | 2.445 | 30 |
| 38.35 | 2.347 | 36 |
| 41.42 | 2.180 | 74 |
| 46.05 | 1.971 | 33 |
| 61.43 | 1.509 | 18 |

Record 8
This entry pairs a crystal structure of Nd3Al2Pd6 with its theoretical XRD peak list. Radiation: Cu Kα, 1.54184 Å. Structure: the PBE geometry in Alexandria.
Intensities are scaled so that the largest is 100.

```
Nd3Al2Pd6
1.0
-4.8095 4.8095 4.8095
4.8095 -4.8095 4.8095
4.8095 4.8095 -4.8095
Nd Al Pd
6 4 12
Cartesian
2.8132 0.0000 0.0000 Nd
6.8058 0.0000 0.0000 Nd
0.0000 2.8132 0.0000 Nd
0.0000 0.0000 2.8132 Nd
0.0000 6.8058 0.0000 Nd
0.0000 0.0000 6.8058 Nd
2.4048 2.4048 -2.4048 Al
2.4048 -2.4048 2.4048 Al
-2.4048 2.4048 2.4048 Al
2.4048 2.4048 2.4048 Al
4.8095 1.6597 -1.6597 Pd
4.8095 -1.6597 1.6597 Pd
1.6597 4.8095 -1.6597 Pd
3.1498 3.1498 0.0000 Pd
3.1498 0.0000 3.1498 Pd
1.6597 -1.6597 4.8095 Pd
4.8095 1.6597 1.6597 Pd
0.0000 3.1498 3.1498 Pd
-1.6597 4.8095 1.6597 Pd
-1.6597 1.6597 4.8095 Pd
1.6597 4.8095 1.6597 Pd
1.6597 1.6597 4.8095 Pd
```

Most intense lines, 5° ≤ 2θ ≤ 70°, sorted by position:
| 2theta | d_spacing | Rel. int. |
| --- | --- | --- |
| 13.02 | 6.802 | 12 |
| 26.20 | 3.401 | 15 |
| 29.36 | 3.042 | 22 |
| 34.90 | 2.571 | 28 |
| 37.40 | 2.405 | 13 |
| 39.76 | 2.267 | 100 |
| 57.48 | 1.603 | 13 |
| 59.21 | 1.560 | 17 |

> Which formula does entry 7 have?

NdAlPd4